No. 1
Starting from DFT lattice parameters and positions (PBE), the powder diffractogram of CsH2 was calculated for Cu Kα, 1.54184 Å.
Kinematic intensities with the Lorentz-polarization factor, no thermal factor.

Largest 8 diffraction maxima, low angle first, 5 to 70 degrees two-theta:
| 2θ (°) | d [Å] | Rel. int. |
| --- | --- | --- |
| 22.38 | 3.972 | 52 |
| 22.80 | 3.900 | 50 |
| 22.97 | 3.872 | 100 |
| 32.21 | 2.779 | 88 |
| 32.32 | 2.770 | 43 |
| 46.53 | 1.952 | 22 |
| 46.71 | 1.945 | 15 |
| 51.68 | 1.769 | 22 |

Structural model:
Lattice parameters (Å, degrees): 4.461 3.972 7.800 90.00 90.25 90.00
Space group Pm (No. 6)
One atom of each set of equivalent atoms:
Cs 0.000 0.000 0.000
Cs 0.491 0.000 0.511
H 0.000 0.500 0.679
H 0.495 0.500 0.153
H 0.836 0.500 0.287
H 0.979 0.500 0.345

---

No. 2
Starting from DFT lattice parameters and positions (PBE), the powder diffractogram of Cs3H2 was calculated for Cu Kα, 1.54184 Å.
Kinematic intensities with the Lorentz-polarization factor, no thermal factor.

Largest 8 diffraction maxima, low angle first, 5 to 70 degrees two-theta:
| 2θ (°) | d [Å] | Rel. int. |
| --- | --- | --- |
| 21.02 | 4.227 | 55 |
| 21.42 | 4.148 | 100 |
| 21.94 | 4.051 | 52 |
| 24.31 | 3.662 | 69 |
| 25.83 | 3.449 | 34 |
| 35.18 | 2.551 | 29 |
| 36.34 | 2.472 | 28 |
| 40.65 | 2.219 | 19 |

Structural model:
Lattice parameters (Å, degrees): 8.809 15.571 8.443 90.00 106.35 90.00
Space group Cc (No. 9)
One atom of each set of equivalent atoms:
Cs 0.000 0.068 0.000
Cs 0.444 0.262 0.991
Cs 0.450 0.110 0.463
H 0.090 0.230 0.861
H 0.101 0.095 0.365

---

No. 3
Starting from DFT lattice parameters and positions (PBE), the powder diffractogram of CsHfH3 was calculated for Cu Kα, 1.54184 Å.
Kinematic intensities with the Lorentz-polarization factor, no thermal factor.

Largest 8 diffraction maxima, low angle first, 5 to 70 degrees two-theta:
| 2θ (°) | d [Å] | Rel. int. |
| --- | --- | --- |
| 25.93 | 3.436 | 58 |
| 27.81 | 3.208 | 100 |
| 29.70 | 3.008 | 84 |
| 36.53 | 2.460 | 47 |
| 45.35 | 2.000 | 53 |
| 46.91 | 1.937 | 23 |
| 48.14 | 1.890 | 22 |
| 59.51 | 1.553 | 24 |

Structural model:
Lattice parameters (Å, degrees): 3.346 3.628 6.872 90.00 90.00 90.00
Space group Pmm2 (No. 25)
One atom of each set of equivalent atoms:
Cs 0.000 0.000 0.000
Hf 0.500 0.500 0.513
H 0.000 0.500 0.339
H 0.000 0.500 0.679
H 0.500 0.000 0.628